Starting from the GGA-PBE geometry in OQMD, the XRD peak list of Gd3Mg3AlTlCd was computed for CuKα.

Principal peaks in the range 10° ≤ 2θ ≤ 90°, in order of falling intensity:
2θ = 33.7°, d 2.663, intensity 100, (2 0 1); 2θ = 30.7°, d 2.917, intensity 58, (1 1 1); 2θ = 65.6°, d 1.423, intensity 43, (1 3 2); 2θ = 23.6°, d 3.766, intensity 42, (1 1 0); 2θ = 41.5°, d 2.174, intensity 41, (3 0 0); 2θ = 54.5°, d 1.684, intensity 38, (3 1 1); 2θ = 27.3°, d 3.262, intensity 29, (2 0 0); 2θ = 13.6°, d 6.525, intensity 29, (1 0 0)

Structure:
a b c (Å): 7.5339 7.5339 4.6092
angles (deg): 90.00 90.00 120.00
Space group P-6 (No. 174)
Asymmetric unit:
Gd  0.0977  0.3420  0.0000 (multiplicity 3)
Mg  0.4272  0.3396  0.5000 (multiplicity 3)
Al  0.3333  0.6667  0.5000 (multiplicity 1)
Tl  0.0000  0.0000  0.5000 (multiplicity 1)
Cd  0.6667  0.3333  0.0000 (multiplicity 1)